Record 1
Computed PXRD pattern of BaCaSi for a wavelength of 1.5418 Å, from a cell relaxed with PBE.

Structure:
a b c (Å): 5.207 5.207 5.207
angles (deg): 60.00 60.00 60.00
Positions (direct):
Ba (0.000, 0.000, 0.000)
Ca (0.750, 0.750, 0.750)
Si (0.500, 0.500, 0.500)

Peak list (8 most intense, 15 to 90 degrees two-theta, most intense first)
d 2.604, intensity 100; d 4.252, intensity 70; d 3.682, intensity 42; d 2.220, intensity 38; d 1.503, intensity 35; d 1.841, intensity 17; d 1.647, intensity 17; d 1.689, intensity 16

***

Record 2
Computed PXRD pattern of LiNb13O33 for a wavelength of 1.5418 Å, from a cell relaxed with PBE.

Structure:
a b c (Å): 11.594 11.594 15.700
angles (deg): 91.75 91.75 19.17
Positions (direct):
Li (0.000, 0.000, 0.000)
Nb (0.208, 0.208, 0.126)
Nb (0.276, 0.276, 0.363)
Nb (0.345, 0.345, 0.596)
Nb (0.364, 0.364, 0.030)
Nb (0.413, 0.413, 0.825)
Nb (0.429, 0.429, 0.270)
Nb (0.500, 0.500, 0.500)
Nb (0.571, 0.571, 0.730)
Nb (0.587, 0.587, 0.175)
Nb (0.636, 0.636, 0.970)
Nb (0.655, 0.655, 0.404)
Nb (0.724, 0.724, 0.637)
Nb (0.792, 0.792, 0.874)
O (0.000, 0.000, 0.500)
O (0.070, 0.070, 0.750)
O (0.109, 0.109, 0.163)
O (0.153, 0.153, 0.997)
O (0.180, 0.180, 0.401)
O (0.233, 0.233, 0.236)
O (0.250, 0.250, 0.637)
O (0.278, 0.278, 0.070)
O (0.306, 0.306, 0.473)
O (0.319, 0.319, 0.889)
O (0.347, 0.347, 0.305)
O (0.373, 0.373, 0.713)
O (0.400, 0.400, 0.134)
O (0.418, 0.418, 0.549)
O (0.433, 0.433, 0.956)
O (0.464, 0.464, 0.379)
O (0.488, 0.488, 0.791)
O (0.512, 0.512, 0.209)
O (0.536, 0.536, 0.621)
O (0.567, 0.567, 0.044)
O (0.582, 0.582, 0.451)
O (0.600, 0.600, 0.866)
O (0.627, 0.627, 0.287)
O (0.653, 0.653, 0.695)
O (0.681, 0.681, 0.111)
O (0.694, 0.694, 0.527)
O (0.722, 0.722, 0.930)
O (0.750, 0.750, 0.363)
O (0.767, 0.767, 0.764)
O (0.820, 0.820, 0.599)
O (0.847, 0.847, 0.003)
O (0.891, 0.891, 0.837)
O (0.930, 0.930, 0.250)

Peak list (8 most intense, 15 to 90 degrees two-theta, most intense first)
d 3.808, intensity 100; d 3.676, intensity 97; d 3.469, intensity 78; d 5.423, intensity 45; d 2.910, intensity 38; d 4.701, intensity 38; d 1.931, intensity 37; d 1.742, intensity 34